Record 1
# TbPmPr2Te5
Computed X-ray powder pattern, Cu Kα. Input: a cell relaxed with PBE.
Neutral-atom scattering factors, no anomalous dispersion.

Atomic structure:
abc: 5.560 5.560 11.782
angles: 90.00 90.00 90.00
Fractional coordinates of all 9 atoms:
Tb  0.000  0.000  0.000
Pm  0.000  0.000  0.500
Pr  0.500  0.500  0.161
Pr  0.500  0.500  0.839
Te  0.000  0.000  0.252
Te  0.000  0.000  0.748
Te  0.000  0.500  0.000
Te  0.500  0.000  0.000
Te  0.500  0.500  0.500

Main lines, low angle first (2θ = 10–80°):
22.6°, 3.932 Å, rel. 55.9; 27.8°, 3.208 Å, rel. 23.3; 32.2°, 2.780 Å, rel. 100.0; 34.5°, 2.603 Å, rel. 27.0; 44.8°, 2.022 Å, rel. 22.4; 46.2°, 1.965 Å, rel. 27.6; 47.9°, 1.900 Å, rel. 21.4; 57.4°, 1.604 Å, rel. 22.0

---

Record 2
# TbPm2Pr4Th
Computed X-ray powder pattern, Cu Kα. Input: a cell relaxed with PBE.
Neutral-atom scattering factors, no anomalous dispersion.

Atomic structure:
abc: 6.127 6.142 7.353
angles: 90.00 90.15 90.00
Fractional coordinates of all 8 atoms:
Tb  0.000  0.000  0.000
Pm  0.000  0.000  0.500
Pm  0.500  0.500  0.000
Pr  0.000  0.500  0.256
Pr  0.000  0.500  0.744
Pr  0.500  0.000  0.256
Pr  0.500  0.000  0.744
Th  0.500  0.500  0.500

Main lines, low angle first (2θ = 10–80°):
29.1°, 3.067 Å, rel. 63.6; 31.9°, 2.805 Å, rel. 100.0; 41.6°, 2.169 Å, rel. 24.3; 49.6°, 1.838 Å, rel. 7.3; 53.4°, 1.717 Å, rel. 35.4; 53.5°, 1.713 Å, rel. 11.7; 58.5°, 1.577 Å, rel. 13.3; 66.6°, 1.404 Å, rel. 6.0

---

Record 3
# Tb2PmPrTh
Computed X-ray powder pattern, Cu Kα. Input: a cell relaxed with PBE.
Neutral-atom scattering factors, no anomalous dispersion.

Atomic structure:
abc: 6.291 5.864 9.675
angles: 90.00 108.96 90.00
Fractional coordinates of all 10 atoms:
Tb  0.143  0.250  0.097
Tb  0.336  0.250  0.508
Tb  0.664  0.750  0.492
Tb  0.857  0.750  0.903
Pm  0.072  0.750  0.297
Pm  0.928  0.250  0.703
Pr  0.277  0.750  0.706
Pr  0.723  0.250  0.294
Th  0.463  0.750  0.092
Th  0.537  0.250  0.908

Main lines, low angle first (2θ = 10–80°):
28.2°, 3.163 Å, rel. 23.0; 30.5°, 2.932 Å, rel. 38.3; 32.1°, 2.784 Å, rel. 100.0; 32.3°, 2.772 Å, rel. 48.7; 42.0°, 2.150 Å, rel. 15.8; 50.1°, 1.819 Å, rel. 18.9; 55.3°, 1.662 Å, rel. 32.4; 59.8°, 1.546 Å, rel. 22.4

---

Record 4
# Tb4PmPr2Th
Computed X-ray powder pattern, Cu Kα. Input: a cell relaxed with PBE.
Neutral-atom scattering factors, no anomalous dispersion.

Atomic structure:
abc: 5.132 5.147 10.094
angles: 90.00 90.00 90.00
Fractional coordinates of all 8 atoms:
Tb  0.000  0.000  0.245
Tb  0.000  0.000  0.755
Tb  0.500  0.500  0.245
Tb  0.500  0.500  0.755
Pm  0.000  0.500  0.500
Pr  0.000  0.500  0.000
Pr  0.500  0.000  0.500
Th  0.500  0.000  0.000

Main lines, low angle first (2θ = 10–80°):
30.3°, 2.949 Å, rel. 100.0; 34.9°, 2.574 Å, rel. 17.3; 35.0°, 2.566 Å, rel. 17.2; 35.6°, 2.523 Å, rel. 16.3; 50.7°, 1.800 Å, rel. 23.9; 59.7°, 1.549 Å, rel. 14.7; 59.9°, 1.545 Å, rel. 14.6; 60.7°, 1.527 Å, rel. 13.9

---

Record 5
# TbPm4Pr2Th2
Computed X-ray powder pattern, Cu Kα. Input: a cell relaxed with PBE.
Neutral-atom scattering factors, no anomalous dispersion.

Atomic structure:
abc: 6.178 6.877 8.590
angles: 78.73 70.27 64.74
Fractional coordinates of all 9 atoms:
Tb  0.000  0.000  0.000
Pm  0.173  0.432  0.133
Pm  0.492  0.870  0.227
Pm  0.508  0.130  0.773
Pm  0.827  0.568  0.867
Pr  0.403  0.687  0.650
Pr  0.597  0.313  0.350
Th  0.043  0.225  0.551
Th  0.957  0.775  0.449

Main lines, low angle first (2θ = 10–80°):
28.9°, 3.087 Å, rel. 66.5; 30.2°, 2.958 Å, rel. 100.0; 31.4°, 2.853 Å, rel. 74.9; 31.5°, 2.839 Å, rel. 80.9; 31.6°, 2.827 Å, rel. 70.6; 32.1°, 2.790 Å, rel. 93.7; 48.3°, 1.886 Å, rel. 35.0; 54.2°, 1.693 Å, rel. 33.4

---

Record 6
# Tb6PmPr2Tm3
Computed X-ray powder pattern, Cu Kα. Input: a cell relaxed with PBE.
Neutral-atom scattering factors, no anomalous dispersion.

Atomic structure:
abc: 6.197 6.197 11.843
angles: 95.00 95.00 119.99
Fractional coordinates of all 12 atoms:
Tb  0.086  0.419  0.756
Tb  0.247  0.247  0.244
Tb  0.419  0.086  0.756
Tb  0.581  0.914  0.244
Tb  0.753  0.753  0.756
Tb  0.914  0.581  0.244
Pm  0.000  0.000  0.500
Pr  0.333  0.667  0.500
Pr  0.667  0.333  0.500
Tm  0.167  0.833  0.000
Tm  0.500  0.500  0.000
Tm  0.833  0.167  0.000

Main lines, low angle first (2θ = 10–80°):
30.6°, 2.919 Å, rel. 100.0; 35.5°, 2.528 Å, rel. 50.6; 51.1°, 1.788 Å, rel. 35.9; 60.7°, 1.525 Å, rel. 32.1; 60.8°, 1.523 Å, rel. 10.4; 63.7°, 1.460 Å, rel. 9.3; 63.9°, 1.458 Å, rel. 3.0; 75.2°, 1.264 Å, rel. 5.7